# Rb2NaCd7
Calculated X-ray powder pattern, copper Kα. Input: a GGA-PBE-relaxed structure.
Intensities are scaled so that the largest is 100.

Top 6 peaks for 10 to 80 degrees two-theta, in order of rising 2θ:
2θ (°)  d [Å]  I/Imax
27.1  3.287  56
28.9  3.091  100
36.3  2.474  72
37.5  2.400  53
38.7  2.328  42
54.1  1.696  30

Unit cell a=4.948 b=4.948 c=13.192 alpha=90.00 beta=90.00 gamma=90.00
Fractional coordinates of all 10 atoms:
Rb (0.000, 0.500, 0.242)
Rb (0.500, 0.000, 0.758)
Na (0.000, 0.000, 0.500)
Cd (0.000, 0.000, 0.000)
Cd (0.000, 0.500, 0.644)
Cd (0.000, 0.500, 0.869)
Cd (0.500, 0.000, 0.131)
Cd (0.500, 0.000, 0.356)
Cd (0.500, 0.500, 0.000)
Cd (0.500, 0.500, 0.500)